(1)
Computed X-ray diffraction stick pattern of ScCr2B4 for Cu Kα X-rays, from a DFT-relaxed cell (GGA-PBE, Alexandria).
Peak positions follow from Bragg's law for the DFT cell and can differ from measured ones.

Main lines, in order of rising 2θ (2θ = 10–90°):
Position (°2θ)	I/Imax
13.4	175
29.2	311
36.1	782
41.0	209
43.8	1000
44.8	647
57.6	165
58.8	169
61.4	146
70.9	179
71.7	183
79.2	201

Structural model:
```
ScCr2B4
1.0
-1.509 1.571 6.610
1.509 -1.571 6.610
1.509 1.571 -6.610
Sc Cr B
1 2 4
Direct
0.000 0.000 0.000 Sc
0.189 0.689 0.500 Cr
0.811 0.311 0.500 Cr
0.357 0.857 0.500 B
0.427 0.427 0.000 B
0.573 0.573 0.000 B
0.643 0.143 0.500 B
```

(2)
Computed X-ray diffraction stick pattern of Sc2CrB6 for Cu Kα X-rays, from a DFT-relaxed cell (GGA-PBE, Alexandria).
Peak positions follow from Bragg's law for the DFT cell and can differ from measured ones.

Main lines, in order of rising 2θ (2θ = 10–90°):
Position (°2θ)	I/Imax
26.4	1000
31.2	577
31.3	482
33.6	544
34.2	390
41.3	981
41.4	840
42.0	546
43.3	904
43.8	701
47.6	493
54.4	489

Structural model:
```
Sc2CrB6
1.0
8.901 0.000 0.000
0.000 11.173 0.000
0.000 0.000 3.372
Sc Cr B
8 4 24
Direct
0.057 0.130 0.000 Sc
0.177 0.414 0.000 Sc
0.323 0.914 0.000 Sc
0.443 0.630 0.000 Sc
0.557 0.370 0.000 Sc
0.677 0.086 0.000 Sc
0.823 0.586 0.000 Sc
0.943 0.870 0.000 Sc
0.140 0.680 0.000 Cr
0.360 0.180 0.000 Cr
0.640 0.820 0.000 Cr
0.860 0.320 0.000 Cr
0.020 0.288 0.500 B
0.054 0.565 0.500 B
0.099 0.973 0.500 B
0.131 0.817 0.500 B
0.205 0.237 0.500 B
0.248 0.080 0.500 B
0.252 0.580 0.500 B
0.295 0.737 0.500 B
0.369 0.317 0.500 B
0.401 0.473 0.500 B
0.446 0.065 0.500 B
0.480 0.788 0.500 B
0.520 0.212 0.500 B
0.554 0.935 0.500 B
0.599 0.527 0.500 B
0.631 0.683 0.500 B
0.705 0.263 0.500 B
0.748 0.420 0.500 B
0.752 0.920 0.500 B
0.795 0.763 0.500 B
0.869 0.183 0.500 B
0.901 0.027 0.500 B
0.946 0.435 0.500 B
0.980 0.712 0.500 B
```

(3)
Computed X-ray diffraction stick pattern of Sm2CrB10 for Cu Kα X-rays, from a DFT-relaxed cell (GGA-PBE, Alexandria).
Peak positions follow from Bragg's law for the DFT cell and can differ from measured ones.

Main lines, in order of rising 2θ (2θ = 10–90°):
Position (°2θ)	I/Imax
21.3	291
22.1	689
27.6	168
30.8	1000
31.4	126
31.5	177
38.2	769
39.0	132
43.3	164
45.0	203
49.1	275
55.6	115

Structural model:
```
Sm2CrB10
1.0
5.707 0.000 0.000
0.000 11.371 0.000
0.000 0.000 4.180
Sm Cr B
4 2 20
Direct
0.201 0.137 0.000 Sm
0.299 0.637 0.000 Sm
0.701 0.363 0.000 Sm
0.799 0.863 0.000 Sm
0.000 0.500 0.500 Cr
0.500 0.000 0.500 Cr
0.049 0.310 0.500 B
0.123 0.958 0.500 B
0.142 0.802 0.500 B
0.216 0.383 0.200 B
0.216 0.383 0.800 B
0.284 0.883 0.200 B
0.284 0.883 0.800 B
0.358 0.302 0.500 B
0.377 0.458 0.500 B
0.451 0.810 0.500 B
0.549 0.190 0.500 B
0.623 0.542 0.500 B
0.642 0.698 0.500 B
0.716 0.117 0.200 B
0.716 0.117 0.800 B
0.784 0.617 0.200 B
0.784 0.617 0.800 B
0.858 0.198 0.500 B
0.877 0.042 0.500 B
0.951 0.690 0.500 B
```